This entry pairs a crystal structure of Sm3Si2Ir2 with its simulated PXRD pattern. Radiation: copper Kα. Structure: a structure optimized by DFT (PBE).
Peak positions follow from Bragg's law for the DFT cell and can differ from measured ones.

Principal peaks in the range 2θ from 15° to 90°, sorted by position:
hkl 0 2 2, 2θ = 26.30°, intensity 28.7
hkl 1 1 4, 2θ = 33.19°, intensity 27.1
hkl 2 1 1, 2θ = 33.78°, intensity 35.1
hkl 0 2 4, 2θ = 35.38°, intensity 31.7
hkl 1 3 0, 2θ = 37.60°, intensity 30.1
hkl 2 1 3, 2θ = 39.02°, intensity 100.0
hkl 0 0 6, 2θ = 40.86°, intensity 30.9
hkl 1 3 3, 2θ = 42.99°, intensity 26.3

Structure:
abc: 5.7668 7.8880 13.2527
angles: 90.00 90.00 90.00
Sites, in units of the cell vectors:
Sm 0.1237 0.2421 0.2500
Sm 0.1237 0.2579 0.7500
Sm 0.3674 0.6126 0.6041
Sm 0.3674 0.6126 0.8959
Sm 0.3674 0.8874 0.1041
Sm 0.3674 0.8874 0.3959
Sm 0.6326 0.1126 0.6041
Sm 0.6326 0.1126 0.8959
Sm 0.6326 0.3874 0.1041
Sm 0.6326 0.3874 0.3959
Sm 0.8763 0.7421 0.2500
Sm 0.8763 0.7579 0.7500
Si 0.0893 0.2500 0.0000
Si 0.0893 0.2500 0.5000
Si 0.3507 0.5940 0.2500
Si 0.3507 0.9060 0.7500
Si 0.6493 0.0940 0.2500
Si 0.6493 0.4060 0.7500
Si 0.9107 0.7500 0.0000
Si 0.9107 0.7500 0.5000
Ir 0.1426 0.5231 0.0890
Ir 0.1426 0.5231 0.4110
Ir 0.1426 0.9769 0.5890
Ir 0.1426 0.9769 0.9110
Ir 0.8574 0.0231 0.0890
Ir 0.8574 0.0231 0.4110
Ir 0.8574 0.4769 0.5890
Ir 0.8574 0.4769 0.9110